Simulated powder diffraction line list of FeH14C4NOF4 for Cu Kα (λ = 1.5418 Å), from DFT lattice parameters and positions (GGA+U).

Top 10 peaks for 2θ = 10–90°, in order of falling intensity:
| index | Position (°2θ) | Rel. int. |
| --- | --- | --- |
| 0 1 0 | 12.2 | 100 |
| 1 1 1 | 15.6 | 66 |
| 0 0 1 | 10.5 | 60 |
| 1 0 0 | 13.2 | 33 |
| 0 1 -1 | 19.1 | 28 |
| 1 2 1 | 22.4 | 26 |
| 0 1 1 | 12.5 | 22 |
| 0 2 1 | 22.5 | 20 |
| 1 -1 1 | 25.3 | 17 |
| 1 1 2 | 21.9 | 16 |

```
FeH14C4NOF4
1.0
7.0179 0.0000 0.0000
2.5236 7.8923 0.0000
1.0608 3.6619 8.4360
Fe H C N O F
2 28 8 2 2 8
direct
0.1751 0.0048 0.3750
0.8249 0.9952 0.6250
0.0552 0.6831 0.0446
0.0684 0.4750 0.2201
0.1096 0.6733 0.2337
0.1582 0.0573 0.8018
0.1603 0.3325 0.5685
0.1915 0.5322 0.5867
0.2241 0.0386 0.9917
0.2372 0.8082 0.6695
0.2611 0.5073 0.8510
0.2801 0.2929 0.0197
0.4017 0.3311 0.6173
0.4086 0.0470 0.8382
0.4563 0.8364 0.6178
0.4686 0.3072 0.8687
0.5314 0.6928 0.1313
0.5437 0.1636 0.3822
0.5914 0.9530 0.1618
0.5983 0.6689 0.3827
0.7199 0.7071 0.9803
0.7389 0.4927 0.1490
0.7628 0.1918 0.3305
0.7759 0.9614 0.0083
0.8085 0.4678 0.4133
0.8397 0.6675 0.4315
0.8418 0.9427 0.1982
0.8904 0.3267 0.7663
0.9316 0.5250 0.7799
0.9448 0.3169 0.9554
0.0274 0.6262 0.1724
0.2398 0.3812 0.6302
0.2501 0.0952 0.8637
0.3097 0.3566 0.8929
0.6903 0.6434 0.1071
0.7499 0.9048 0.1363
0.7602 0.6188 0.3698
0.9726 0.3738 0.8276
0.1926 0.3021 0.8035
0.8074 0.6979 0.1965
0.3385 0.8151 0.5836
0.6615 0.1849 0.4164
0.0265 0.1377 0.5187
0.0328 0.8173 0.7806
0.2874 0.8589 0.2586
0.3590 0.1504 0.3097
0.6410 0.8496 0.6903
0.7126 0.1411 0.7414
0.9672 0.1827 0.2194
0.9735 0.8623 0.4813
```